[1]
For ZrCd2In2, a DFT-relaxed cell (PBE, Alexandria) gives the theoretical powder XRD pattern in this record (Cu Kα (λ = 1.5418 Å)).
Neutral-atom scattering factors, no anomalous dispersion.

Most intense lines, 5 to 70 degrees two-theta, sorted by position:
2θ (°)  I/Imax
30.8  11.7
33.9  31.2
34.6  47.8
35.6  100.0
39.6  14.6
53.1  11.9
63.8  13.6
64.7  14.5

Atomic structure:
```
ZrCd2In2
1.0
8.2041 0.0000 0.0000
0.0000 8.2041 0.0000
0.0000 0.0000 3.4634
Zr Cd In
2 4 4
direct
0.0000 0.0000 0.0000 Zr
0.5000 0.5000 0.0000 Zr
0.1243 0.3757 0.0000 Cd
0.3757 0.8757 0.0000 Cd
0.6243 0.1243 0.0000 Cd
0.8757 0.6243 0.0000 Cd
0.1784 0.6784 0.5000 In
0.3216 0.1784 0.5000 In
0.6784 0.8216 0.5000 In
0.8216 0.3216 0.5000 In
```


[2]
For VMo3W9, a DFT-relaxed cell (PBE, Alexandria) gives the theoretical powder XRD pattern in this record (Cu Kα (λ = 1.5418 Å)).
Neutral-atom scattering factors, no anomalous dispersion.

Most intense lines, 5 to 70 degrees two-theta, sorted by position:
2θ (°)  I/Imax
19.6  15.4
24.8  19.1
40.2  50.7
40.4  100.0
40.6  63.1
40.9  32.1
58.3  10.9
58.7  10.8

Atomic structure:
```
VMo3W9
1.0
2.7019 0.0000 0.0000
0.0161 8.9325 0.0000
0.9914 2.2002 9.0551
V Mo W
1 3 9
direct
0.0000 0.0000 0.0000 V
0.0013 0.4901 0.0003 Mo
0.1040 0.8522 0.5749 Mo
0.8155 0.1433 0.4353 Mo
0.2459 0.2079 0.1427 W
0.3768 0.0715 0.7148 W
0.3951 0.5590 0.7128 W
0.4830 0.4201 0.2942 W
0.5096 0.9264 0.2905 W
0.6565 0.7830 0.8557 W
0.7167 0.2781 0.8528 W
0.7680 0.7103 0.1460 W
0.8872 0.6281 0.4363 W
```


[3]
For Tl3GeCl5, a DFT-relaxed cell (PBE, Alexandria) gives the theoretical powder XRD pattern in this record (Cu Kα (λ = 1.5418 Å)).
Neutral-atom scattering factors, no anomalous dispersion.

Most intense lines, 5 to 70 degrees two-theta, sorted by position:
2θ (°)  I/Imax
22.4  49.2
23.9  79.1
24.2  51.5
29.0  100.0
33.6  39.5
37.0  29.0
40.2  29.7
57.9  28.7

Atomic structure:
```
Tl3GeCl5
1.0
-4.2226 4.2226 7.9386
4.2226 -4.2226 7.9386
4.2226 4.2226 -7.9386
Tl Ge Cl
6 2 10
direct
0.1641 0.6641 0.8283 Tl
0.2500 0.2500 0.0000 Tl
0.3359 0.1641 0.5000 Tl
0.6641 0.8359 0.5000 Tl
0.7500 0.7500 0.0000 Tl
0.8359 0.3359 0.1717 Tl
0.2500 0.7500 0.5000 Ge
0.7500 0.2500 0.5000 Ge
0.0000 0.0000 0.0000 Cl
0.0156 0.1841 0.5000 Cl
0.1841 0.6841 0.1685 Cl
0.3159 0.4844 0.5000 Cl
0.4844 0.9844 0.1685 Cl
0.5000 0.5000 0.0000 Cl
0.5156 0.0156 0.8315 Cl
0.6841 0.5156 0.5000 Cl
0.8159 0.3159 0.8315 Cl
0.9844 0.8159 0.5000 Cl
```


[4]
For LaTb4Pr6, a DFT-relaxed cell (PBE, Alexandria) gives the theoretical powder XRD pattern in this record (Cu Kα (λ = 1.5418 Å)).
Neutral-atom scattering factors, no anomalous dispersion.

Most intense lines, 5 to 70 degrees two-theta, sorted by position:
2θ (°)  I/Imax
27.5  18.1
29.3  26.2
30.7  83.0
31.9  100.0
34.7  35.4
44.9  20.3
56.1  15.3
60.8  31.5

Atomic structure:
```
LaTb4Pr6
1.0
11.2356 0.0000 0.0000
-5.6178 9.7303 0.0000
0.0000 0.0000 3.6285
La Tb Pr
1 4 6
direct
0.0000 0.0000 0.0000 La
0.3239 0.1620 0.5000 Tb
0.3333 0.6667 0.0000 Tb
0.8380 0.1620 0.5000 Tb
0.8380 0.6761 0.5000 Tb
0.1831 0.3662 0.5000 Pr
0.1831 0.8169 0.5000 Pr
0.5252 0.0504 0.0000 Pr
0.5252 0.4748 0.0000 Pr
0.6338 0.8169 0.5000 Pr
0.9496 0.4748 0.0000 Pr
```


[5]
For InGeOs2Pt, a DFT-relaxed cell (PBE, Alexandria) gives the theoretical powder XRD pattern in this record (Cu Kα (λ = 1.5418 Å)).
Neutral-atom scattering factors, no anomalous dispersion.

Most intense lines, 5 to 70 degrees two-theta, sorted by position:
2θ (°)  I/Imax
19.3  59.1
26.6  43.9
32.3  68.5
36.7  100.0
39.1  41.9
41.8  34.1
52.8  35.3
54.7  63.6

Atomic structure:
```
InGeOs2Pt
1.0
4.9000 0.0000 0.0000
0.0000 4.9000 0.0000
0.0000 0.0000 4.6068
In Ge Os Pt
1 1 2 1
direct
0.0000 0.0000 0.0000 In
0.5000 0.5000 0.0000 Ge
0.0000 0.5000 0.5000 Os
0.5000 0.0000 0.5000 Os
0.5000 0.5000 0.5000 Pt
```


[6]
For CeThGeTe, a DFT-relaxed cell (PBE, Alexandria) gives the theoretical powder XRD pattern in this record (Cu Kα (λ = 1.5418 Å)).
Neutral-atom scattering factors, no anomalous dispersion.

Most intense lines, 5 to 70 degrees two-theta, sorted by position:
2θ (°)  I/Imax
24.9  20.5
28.7  43.8
28.8  86.6
41.2  100.0
51.0  35.9
59.7  11.2
67.4  15.6
67.6  30.8

Atomic structure:
```
CeThGeTe
1.0
4.3790 0.0000 0.0000
0.0000 4.3790 0.0000
0.0000 0.0000 6.2201
Ce Th Ge Te
1 1 1 1
direct
0.0000 0.0000 0.0000 Ce
0.5000 0.5000 0.5000 Th
0.0000 0.0000 0.5000 Ge
0.5000 0.5000 0.0000 Te
```


[7]
For RbUCrN4, a DFT-relaxed cell (PBE, Alexandria) gives the theoretical powder XRD pattern in this record (Cu Kα (λ = 1.5418 Å)).
Neutral-atom scattering factors, no anomalous dispersion.

Most intense lines, 5 to 70 degrees two-theta, sorted by position:
2θ (°)  I/Imax
11.7  100.0
22.7  71.5
28.5  35.6
29.1  36.1
31.9  33.5
32.6  24.4
34.1  23.7
36.4  27.9

Atomic structure:
```
RbUCrN4
1.0
5.7550 0.0000 0.0000
0.0000 5.6026 0.0000
-2.4047 0.0000 7.5561
Rb U Cr N
2 2 2 8
direct
0.2072 0.2500 0.4328 Rb
0.7928 0.7500 0.5672 Rb
0.2758 0.2500 0.9531 U
0.7242 0.7500 0.0469 U
0.2639 0.7500 0.1515 Cr
0.7361 0.2500 0.8485 Cr
0.0504 0.7500 0.9480 N
0.0546 0.7500 0.2719 N
0.4700 0.5107 0.1629 N
0.4700 0.9893 0.1629 N
0.5300 0.0107 0.8371 N
0.5300 0.4893 0.8371 N
0.9454 0.2500 0.7281 N
0.9496 0.2500 0.0520 N
```


What is the formula in the first record? ZrCd2In2